1.
Starting from a DFT-relaxed cell (GGA-PBE, OQMD), the powder diffraction line list of Gd3In12Pt4 was simulated for Cu Kα (λ = 1.5418 Å).
No peak broadening, texture or thermal motion is included.

Main lines, by angle (2θ = 10–90°):
d [Å]  Position (°2θ)  I/Imax
2.759  32.45  52
2.702  33.16  84
2.511  35.76  100
2.498  35.95  69
2.309  39.00  30
2.142  42.18  26
2.096  43.15  38
1.445  64.50  35

Crystal structure
a b c (Å): 9.9921 9.9921 15.4177
angles (deg): 90.00 90.00 120.00
Atoms (fractional coordinates):
Gd  0.0000  0.0000  0.0000
Gd  0.0141  0.5070  0.1949
Gd  0.3333  0.6667  0.5130
Gd  0.4930  0.5070  0.1949
Gd  0.4930  0.9859  0.1949
Gd  0.5070  0.0141  0.8051
Gd  0.5070  0.4930  0.8051
Gd  0.6667  0.3333  0.4870
Gd  0.9859  0.4930  0.8051
In  0.0000  0.0000  0.3740
In  0.0000  0.0000  0.6260
In  0.0000  0.2866  0.5000
In  0.0000  0.3501  0.0000
In  0.0000  0.6499  0.0000
In  0.0000  0.7134  0.5000
In  0.1191  0.2381  0.1770
In  0.1191  0.8809  0.1770
In  0.2119  0.4238  0.6857
In  0.2119  0.7881  0.6857
In  0.2220  0.4440  0.3324
In  0.2220  0.7780  0.3324
In  0.2381  0.1191  0.8230
In  0.2866  0.0000  0.5000
In  0.2866  0.2866  0.5000
In  0.3333  0.6667  0.0849
In  0.3333  0.6667  0.8817
In  0.3501  0.0000  0.0000
In  0.3501  0.3501  0.0000
In  0.4238  0.2119  0.3143
In  0.4440  0.2220  0.6676
In  0.5560  0.7780  0.3324
In  0.5762  0.7881  0.6857
In  0.6499  0.0000  0.0000
In  0.6499  0.6499  0.0000
In  0.6667  0.3333  0.1183
In  0.6667  0.3333  0.9151
In  0.7134  0.0000  0.5000
In  0.7134  0.7134  0.5000
In  0.7619  0.8809  0.1770
In  0.7780  0.2220  0.6676
In  0.7780  0.5560  0.6676
In  0.7881  0.2119  0.3143
In  0.7881  0.5762  0.3143
In  0.8809  0.1191  0.8230
In  0.8809  0.7619  0.8230
Pt  0.0111  0.5056  0.6107
Pt  0.1725  0.3450  0.8615
Pt  0.1725  0.8275  0.8615
Pt  0.3450  0.1725  0.1385
Pt  0.4944  0.5056  0.6107
Pt  0.4944  0.9889  0.6107
Pt  0.5056  0.0111  0.3893
Pt  0.5056  0.4944  0.3893
Pt  0.6550  0.8275  0.8615
Pt  0.8275  0.1725  0.1385
Pt  0.8275  0.6550  0.1385
Pt  0.9889  0.4944  0.3893

---

2.
Starting from a DFT-relaxed cell (GGA-PBE, OQMD), the powder diffraction line list of Si16Ge12P3Ir was simulated for Cu Kα (λ = 1.5418 Å).
No peak broadening, texture or thermal motion is included.

Main lines, by angle (2θ = 10–90°):
d [Å]  Position (°2θ)  I/Imax
3.229  27.62  84
3.213  27.77  85
3.191  27.96  90
3.155  28.29  100
1.979  45.84  45
1.964  46.22  42
1.954  46.46  41
1.682  54.57  40

Crystal structure
a b c (Å): 6.7926 10.2851 10.4058
angles (deg): 80.87 71.53 83.20
Atoms (fractional coordinates):
Si  0.0000  0.0000  0.0000
Si  0.9999  0.1182  0.6183
Si  0.0043  0.8797  0.3728
Si  0.0058  0.4997  0.5001
Si  0.1119  0.0885  0.3834
Si  0.1140  0.9529  0.7699
Si  0.1229  0.7031  0.5132
Si  0.1241  0.8313  0.1452
Si  0.4811  0.0656  0.3163
Si  0.4921  0.6824  0.4382
Si  0.4934  0.1790  0.9333
Si  0.5014  0.5581  0.8196
Si  0.6218  0.7614  0.8321
Si  0.6274  0.0209  0.0826
Si  0.6283  0.1394  0.7009
Si  0.6278  0.6350  0.2116
Ge  0.0027  0.6211  0.1381
Ge  0.0059  0.3601  0.8845
Ge  0.1149  0.4239  0.2803
Ge  0.1236  0.3207  0.6436
Ge  0.1269  0.5727  0.8995
Ge  0.4911  0.9359  0.6893
Ge  0.4978  0.4289  0.2042
Ge  0.5018  0.8113  0.0673
Ge  0.6188  0.3785  0.9644
Ge  0.6264  0.5097  0.5829
Ge  0.6260  0.8869  0.4499
Ge  0.9968  0.7474  0.7485
P  0.1347  0.1868  0.0233
P  0.4984  0.3033  0.5616
P  0.6333  0.2475  0.3351
Ir  0.9751  0.2369  0.2379

---

3.
Starting from a DFT-relaxed cell (GGA-PBE, OQMD), the powder diffraction line list of Cd2HSeBrO4 was simulated for Cu Kα (λ = 1.5418 Å).
No peak broadening, texture or thermal motion is included.

Main lines, by angle (2θ = 10–90°):
d [Å]  Position (°2θ)  I/Imax
8.665  10.21  46
2.989  29.89  100
2.918  30.63  30
2.889  30.96  33
2.874  31.12  45
2.737  32.72  92
2.188  41.26  31
1.883  48.33  46

Crystal structure
a b c (Å): 10.0699 10.0699 6.8404
angles (deg): 97.85 97.85 59.75
Atoms (fractional coordinates):
Cd  0.0182  0.8082  0.8606
Cd  0.1918  0.9818  0.6394
Cd  0.2031  0.3399  0.5275
Cd  0.3399  0.2031  0.0275
Cd  0.6601  0.7969  0.9725
Cd  0.7969  0.6601  0.4725
Cd  0.8082  0.0182  0.3606
Cd  0.9818  0.1918  0.1394
H  0.0690  0.4072  0.1743
H  0.4072  0.0690  0.6743
H  0.5928  0.9310  0.3257
H  0.9310  0.5928  0.8257
Se  0.1413  0.6810  0.3572
Se  0.3190  0.8587  0.1428
Se  0.6810  0.1413  0.8572
Se  0.8587  0.3190  0.6428
Br  0.2730  0.4821  0.8853
Br  0.4821  0.2730  0.3853
Br  0.5179  0.7270  0.6147
Br  0.7270  0.5179  0.1147
O  0.0059  0.8057  0.1922
O  0.0531  0.5820  0.4080
O  0.1011  0.8120  0.5630
O  0.1339  0.2980  0.1978
O  0.1880  0.8989  0.9370
O  0.1943  0.9941  0.3078
O  0.2980  0.1339  0.6978
O  0.4180  0.9469  0.0920
O  0.5820  0.0531  0.9080
O  0.7020  0.8661  0.3022
O  0.8057  0.0059  0.6922
O  0.8120  0.1011  0.0630
O  0.8661  0.7020  0.8022
O  0.8989  0.1880  0.4370
O  0.9469  0.4180  0.5920
O  0.9941  0.1943  0.8078

---

4.
Starting from a DFT-relaxed cell (GGA-PBE, OQMD), the powder diffraction line list of Ho3TeSe2 was simulated for Cu Kα (λ = 1.5418 Å).
No peak broadening, texture or thermal motion is included.

Main lines, by angle (2θ = 10–90°):
d [Å]  Position (°2θ)  I/Imax
3.389  26.30  12
2.930  30.51  100
2.077  43.57  38
2.067  43.80  31
1.694  54.12  20
1.313  71.91  17
1.308  72.24  11
1.197  80.17  11

Crystal structure
a b c (Å): 4.1541 4.1541 10.0993
angles (deg): 90.00 90.00 120.00
Atoms (fractional coordinates):
Ho  0.0000  0.0000  0.0000
Ho  0.3333  0.6667  0.3069
Ho  0.6667  0.3333  0.6931
Te  0.0000  0.0000  0.5000
Se  0.3333  0.6667  0.8431
Se  0.6667  0.3333  0.1569

---

5.
Starting from a DFT-relaxed cell (GGA-PBE, OQMD), the powder diffraction line list of KRbReSeS2 was simulated for Cu Kα (λ = 1.5418 Å).
No peak broadening, texture or thermal motion is included.

Main lines, by angle (2θ = 10–90°):
d [Å]  Position (°2θ)  I/Imax
7.810  11.33  58
5.957  14.87  46
5.692  15.57  47
5.650  15.68  73
5.602  15.82  59
4.908  18.07  41
3.432  25.96  100
3.298  27.04  46

Crystal structure
a b c (Å): 6.8734 7.6293 8.4763
angles (deg): 75.58 68.00 65.65
Atoms (fractional coordinates):
K  0.0951  0.1845  0.1350
K  0.9049  0.8155  0.8650
Rb  0.3388  0.5714  0.2977
Rb  0.6612  0.4286  0.7023
Re  0.3841  0.0504  0.6615
Re  0.6159  0.9496  0.3385
Se  0.1712  0.3788  0.7250
Se  0.8288  0.6212  0.2750
S  0.2569  0.9727  0.4864
S  0.3761  0.8349  0.8947
S  0.6239  0.1651  0.1053
S  0.7431  0.0273  0.5136

---

6.
Starting from a DFT-relaxed cell (GGA-PBE, OQMD), the powder diffraction line list of Nd3TaSe2O4F2 was simulated for Cu Kα (λ = 1.5418 Å).
No peak broadening, texture or thermal motion is included.

Main lines, by angle (2θ = 10–90°):
d [Å]  Position (°2θ)  I/Imax
3.381  26.36  35
3.141  28.42  63
3.021  29.57  30
2.855  31.34  25
2.823  31.70  100
2.789  32.09  18
2.755  32.50  25
1.965  46.20  33

Crystal structure
a b c (Å): 11.1568 3.9297 17.7365
angles (deg): 90.00 90.00 90.00
Atoms (fractional coordinates):
Nd  0.0055  0.2500  0.1066
Nd  0.0629  0.2500  0.6985
Nd  0.2082  0.7500  0.4702
Nd  0.2918  0.2500  0.9702
Nd  0.4371  0.7500  0.1985
Nd  0.4945  0.7500  0.6066
Nd  0.5055  0.2500  0.3934
Nd  0.5629  0.2500  0.8015
Nd  0.7082  0.7500  0.0298
Nd  0.7918  0.2500  0.5298
Nd  0.9371  0.7500  0.3015
Nd  0.9945  0.7500  0.8934
Ta  0.1956  0.2500  0.3050
Ta  0.3044  0.7500  0.8050
Ta  0.6956  0.2500  0.1950
Ta  0.8044  0.7500  0.6950
Se  0.0084  0.2500  0.4219
Se  0.2180  0.7500  0.0937
Se  0.2820  0.2500  0.5937
Se  0.4916  0.7500  0.9219
Se  0.5084  0.2500  0.0781
Se  0.7180  0.7500  0.4063
Se  0.7820  0.2500  0.9063
Se  0.9916  0.7500  0.5781
O  0.0543  0.2500  0.2428
O  0.1721  0.7500  0.3218
O  0.1817  0.7500  0.7361
O  0.2132  0.7500  0.9027
O  0.2868  0.2500  0.4027
O  0.3183  0.2500  0.2361
O  0.3279  0.2500  0.8218
O  0.4457  0.7500  0.7428
O  0.5543  0.2500  0.2572
O  0.6721  0.7500  0.1782
O  0.6817  0.7500  0.7639
O  0.7132  0.7500  0.5973
O  0.7868  0.2500  0.0973
O  0.8183  0.2500  0.2639
O  0.8279  0.2500  0.6782
O  0.9457  0.7500  0.7572
F  0.0617  0.2500  0.8315
F  0.0682  0.2500  0.9744
F  0.4318  0.7500  0.4744
F  0.4383  0.7500  0.3315
F  0.5617  0.2500  0.6685
F  0.5682  0.2500  0.5256
F  0.9318  0.7500  0.0256
F  0.9383  0.7500  0.1685